Record 1
Starting from DFT lattice parameters and positions (PBE), the XRD peak list of NdSc3Ag4 was calculated for copper Kα.

Principal peaks in the range 5 to 70 degrees two-theta, low angle first:
2θ (°)  d/Å  intensity
25.41  3.506  72
28.38  3.145  101
35.97  2.497  1000
36.24  2.479  516
51.37  1.779  73
52.19  1.753  173
64.48  1.445  142
65.01  1.435  327

Structure:
```
NdSc3Ag4
1.0
9.916 0.000 0.000
0.000 7.114 0.000
0.000 0.000 4.957
Nd Sc Ag
2 6 8
direct
0.000 0.000 0.000
0.500 0.000 0.000
0.000 0.500 0.000
0.250 0.000 0.499
0.250 0.500 0.498
0.500 0.500 0.000
0.750 0.000 0.501
0.750 0.500 0.502
0.000 0.273 0.500
0.000 0.727 0.500
0.250 0.273 0.998
0.250 0.727 0.998
0.500 0.273 0.500
0.500 0.727 0.500
0.750 0.273 0.002
0.750 0.727 0.002
```

Record 2
Starting from DFT lattice parameters and positions (PBE), the XRD peak list of NdScAg was calculated for copper Kα.

Principal peaks in the range 5 to 70 degrees two-theta, low angle first:
2θ (°)  d/Å  intensity
26.93  3.311  1000
29.66  3.012  552
31.21  2.865  992
36.77  2.444  500
38.45  2.341  785
42.10  2.147  491
50.33  1.813  517
58.32  1.582  365

Structure:
```
NdScAg
1.0
4.683 0.000 0.000
0.000 4.683 0.000
0.000 0.000 7.246
Nd Sc Ag
2 2 2
direct
0.250 0.250 0.130
0.750 0.750 0.870
0.250 0.750 0.500
0.750 0.250 0.500
0.250 0.250 0.724
0.750 0.750 0.276
```

Record 3
Starting from DFT lattice parameters and positions (PBE), the XRD peak list of Nd3AgSe5 was calculated for copper Kα.

Principal peaks in the range 5 to 70 degrees two-theta, low angle first:
2θ (°)  d/Å  intensity
25.46  3.498  263
31.16  2.871  1000
31.64  2.828  316
33.44  2.679  392
35.50  2.529  330
40.14  2.247  225
43.92  2.062  160
50.75  1.799  219

Structure:
```
Nd3AgSe5
1.0
-3.999 3.999 7.218
3.999 -3.999 7.218
3.999 3.999 -7.218
Nd Ag Se
6 2 10
direct
0.153 0.653 0.806
0.250 0.250 0.000
0.347 0.153 0.500
0.653 0.847 0.500
0.750 0.750 0.000
0.847 0.347 0.194
0.250 0.750 0.500
0.750 0.250 0.500
0.000 0.000 0.000
0.035 0.183 0.500
0.183 0.683 0.147
0.317 0.465 0.500
0.465 0.965 0.147
0.500 0.500 0.000
0.535 0.035 0.853
0.683 0.535 0.500
0.817 0.317 0.853
0.965 0.817 0.500
```

Record 4
Starting from DFT lattice parameters and positions (PBE), the XRD peak list of Nd2TlAgSe4 was calculated for copper Kα.

Principal peaks in the range 5 to 70 degrees two-theta, low angle first:
2θ (°)  d/Å  intensity
21.56  4.122  355
28.56  3.125  586
30.38  2.942  1000
32.16  2.784  259
35.64  2.519  251
36.87  2.438  337
41.88  2.157  538
42.08  2.148  334

Structure:
```
Nd2TlAgSe4
1.0
2.147 -7.167 0.000
2.147 7.167 0.000
0.000 0.000 15.115
Nd Tl Ag Se
4 2 2 8
direct
0.132 0.868 0.568
0.132 0.868 0.932
0.868 0.132 0.068
0.868 0.132 0.432
0.380 0.620 0.750
0.620 0.380 0.250
0.340 0.660 0.250
0.660 0.340 0.750
0.051 0.949 0.750
0.232 0.768 0.107
0.232 0.768 0.393
0.500 0.500 0.000
0.500 0.500 0.500
0.768 0.232 0.607
0.768 0.232 0.893
0.949 0.051 0.250
```

Record 5
Starting from DFT lattice parameters and positions (PBE), the XRD peak list of Nd5Sm2Ag4 was calculated for copper Kα.

Principal peaks in the range 5 to 70 degrees two-theta, low angle first:
2θ (°)  d/Å  intensity
26.30  3.388  357
30.42  2.938  448
30.70  2.912  670
31.48  2.842  548
33.54  2.672  374
34.66  2.588  1000
37.28  2.412  460
38.24  2.354  648

Structure:
```
Nd5Sm2Ag4
1.0
11.785 -1.737 0.000
11.785 1.737 0.000
-0.762 0.000 7.994
Nd Sm Ag
5 2 4
direct
0.000 0.000 0.000
0.275 0.275 0.301
0.346 0.346 0.922
0.654 0.654 0.078
0.725 0.725 0.699
0.423 0.423 0.320
0.577 0.577 0.680
0.149 0.149 0.426
0.447 0.447 0.695
0.553 0.553 0.305
0.851 0.851 0.574
```

Record 6
Starting from DFT lattice parameters and positions (PBE), the XRD peak list of Nd4SmAg4 was calculated for copper Kα.

Principal peaks in the range 5 to 70 degrees two-theta, low angle first:
2θ (°)  d/Å  intensity
25.85  3.447  293
28.93  3.087  459
31.24  2.863  1000
35.19  2.550  487
40.60  2.222  147
44.76  2.025  326
45.47  1.995  338
49.96  1.825  206

Structure:
```
Nd4SmAg4
1.0
9.055 0.000 0.000
0.000 9.055 0.000
0.000 0.000 6.567
Nd Sm Ag
8 2 8
direct
0.038 0.659 0.146
0.159 0.962 0.646
0.341 0.538 0.646
0.462 0.841 0.146
0.538 0.159 0.854
0.659 0.462 0.354
0.841 0.038 0.354
0.962 0.341 0.854
0.250 0.250 0.250
0.750 0.750 0.750
0.027 0.637 0.613
0.137 0.973 0.113
0.363 0.527 0.113
0.473 0.863 0.613
0.527 0.137 0.387
0.637 0.473 0.887
0.863 0.027 0.887
0.973 0.363 0.387
```